Structure and theoretical powder diffraction line list of TeMoI2F (a cell relaxed with PBE+U; Cu Kα (weighted mean of Kα1 and Kα2)).

Principal peaks in the range 10° ≤ 2θ ≤ 90°, by angle:
| 2θ (°) | I (rel.) |
| --- | --- |
| 15.76 | 89 |
| 16.05 | 44 |
| 27.65 | 100 |
| 31.83 | 95 |
| 32.42 | 45 |
| 35.84 | 24 |
| 45.64 | 34 |
| 46.07 | 67 |
| 54.20 | 30 |
| 57.09 | 35 |

Structure:
Lattice parameters (Å, degrees): 5.622 5.622 5.523 90.00 90.00 90.00
Atoms (fractional coordinates):
1 Te 0.000 0.000 0.000
2 Mo 0.000 0.000 0.500
3 I 0.000 0.500 0.500
4 I 0.500 0.000 0.500
5 F 0.500 0.500 0.000